Diffraction record for VPO5. The XRD peak list is theoretical, not measured: it uses a DFT-relaxed cell (GGA+U, the Materials Project) and Cu Ka.

Main lines, sorted by position (2θ from 10° to 90°):
2θ 17.4, intensity 89.8; 2θ 20.0, intensity 58.9; 2θ 20.6, intensity 100.0; 2θ 22.1, intensity 52.4; 2θ 22.3, intensity 95.0; 2θ 22.4, intensity 51.2; 2θ 24.8, intensity 75.4; 2θ 26.9, intensity 48.4; 2θ 28.2, intensity 75.4; 2θ 28.3, intensity 46.9

Structure:
Lattice parameters (Å, degrees): 5.1060 9.0112 17.7999 90.00 90.38 90.00
Atoms (fractional coordinates):
V1 0.9997 0.1139 0.1237
V2 0.9997 0.3861 0.6237
V3 0.0003 0.6139 0.3763
V4 0.0003 0.8861 0.8763
V5 0.4156 0.5809 0.1349
V6 0.4156 0.9191 0.6349
V7 0.5844 0.0809 0.3651
V8 0.5844 0.4191 0.8651
P1 0.4991 0.2323 0.5325
P2 0.4991 0.2677 0.0325
P3 0.4995 0.0819 0.8026
P4 0.4995 0.4181 0.3026
P5 0.5005 0.5819 0.6974
P6 0.5005 0.9181 0.1974
P7 0.5009 0.7323 0.9675
P8 0.5009 0.7677 0.4675
O1 0.0003 0.2412 0.1860
O2 0.0003 0.2588 0.6860
O3 0.9997 0.7412 0.3140
O4 0.9997 0.7588 0.8140
O5 0.1026 0.5819 0.1319
O6 0.1026 0.9181 0.6319
O7 0.2523 0.1780 0.0522
O8 0.2523 0.3220 0.5522
O9 0.2530 0.5253 0.6568
O10 0.2528 0.6768 0.4490
O11 0.2528 0.8232 0.9490
O12 0.2530 0.9747 0.1568
O13 0.2536 0.0238 0.8424
O14 0.2536 0.4762 0.3424
O15 0.4891 0.2050 0.4472
O16 0.4891 0.2950 0.9472
O17 0.4901 0.5835 0.9251
O18 0.4901 0.9165 0.4251
O19 0.4959 0.2472 0.3035
O20 0.4959 0.2528 0.8035
O21 0.4958 0.5347 0.7804
O22 0.4958 0.9653 0.2804
O23 0.5042 0.0347 0.7196
O24 0.5042 0.4653 0.2196
O25 0.5041 0.7472 0.1965
O26 0.5041 0.7528 0.6965
O27 0.5099 0.0835 0.5749
O28 0.5099 0.4165 0.0749
O29 0.5109 0.7050 0.0528
O30 0.5109 0.7950 0.5528
O31 0.7464 0.5238 0.6576
O32 0.7464 0.9762 0.1576
O33 0.7470 0.0253 0.8432
O34 0.7472 0.1768 0.0510
O35 0.7472 0.3232 0.5510
O36 0.7470 0.4747 0.3432
O37 0.7477 0.6780 0.4478
O38 0.7477 0.8220 0.9478
O39 0.8974 0.0819 0.3681
O40 0.8974 0.4181 0.8681

***

Diffraction record for Mn3TeO6. The XRD peak list is theoretical, not measured: it uses a DFT-relaxed cell (GGA+U, the Materials Project) and Cu Ka.

Main lines, sorted by position (2θ from 10° to 90°):
2θ 19.6, intensity 27.9; 2θ 23.1, intensity 17.7; 2θ 32.3, intensity 73.5; 2θ 32.5, intensity 100.0; 2θ 33.4, intensity 29.2; 2θ 45.7, intensity 18.1; 2θ 47.3, intensity 31.9; 2θ 57.8, intensity 19.1; 2θ 58.9, intensity 17.5; 2θ 59.2, intensity 16.5

Structure:
Lattice parameters (Å, degrees): 5.3658 5.5196 7.9474 90.06 90.36 90.00
Atoms (fractional coordinates):
Mn1 0.0000 0.0000 0.0000
Mn2 0.0111 0.5462 0.2388
Mn3 0.0242 0.0940 0.4755
Mn4 0.4994 0.5930 0.5003
Mn5 0.5120 0.0480 0.7364
Mn6 0.5241 0.5006 0.9750
Te1 0.0116 0.5482 0.7390
Te2 0.5116 0.0463 0.2383
O1 0.1396 0.6269 0.9663
O2 0.1804 0.8390 0.6540
O3 0.2082 0.8677 0.2901
O4 0.3153 0.3702 0.6872
O5 0.3416 0.3362 0.3245
O6 0.3844 0.1268 0.0112
O7 0.6388 0.9671 0.4659
O8 0.6809 0.7556 0.1535
O9 0.7096 0.7283 0.7916
O10 0.8154 0.2241 0.1876
O11 0.8412 0.2588 0.8246
O12 0.8838 0.4680 0.5119

***

Diffraction record for Li4Mn5Cu3O16. The XRD peak list is theoretical, not measured: it uses a DFT-relaxed cell (GGA+U, the Materials Project) and Cu Ka.

Main lines, sorted by position (2θ from 10° to 90°):
2θ 18.8, intensity 100.0; 2θ 19.9, intensity 52.7; 2θ 20.2, intensity 76.2; 2θ 35.5, intensity 27.0; 2θ 36.8, intensity 53.1; 2θ 37.3, intensity 28.5; 2θ 41.1, intensity 29.1; 2θ 45.8, intensity 34.7; 2θ 46.8, intensity 30.4; 2θ 63.6, intensity 41.0

Structure:
Lattice parameters (Å, degrees): 5.8551 5.8551 9.4379 92.20 92.20 59.04
Atoms (fractional coordinates):
Li1 0.0000 0.0000 0.0000
Li2 0.0023 0.0023 0.5072
Li3 0.3356 0.3356 0.4102
Li4 0.6664 0.6664 0.9091
Mn1 0.1757 0.1757 0.7256
Mn2 0.3389 0.3389 0.9953
Mn3 0.3416 0.8341 0.2242
Mn4 0.6739 0.6739 0.4969
Mn5 0.8341 0.3416 0.2242
Cu1 0.1762 0.6635 0.7207
Cu2 0.6635 0.1762 0.7207
Cu3 0.8334 0.8334 0.2226
O1 0.0055 0.0055 0.8070
O2 0.0063 0.0063 0.3169
O3 0.0372 0.4670 0.8607
O4 0.1652 0.1652 0.1157
O5 0.1776 0.6733 0.1056
O6 0.3341 0.3341 0.6216
O7 0.3452 0.8498 0.6054
O8 0.4670 0.0372 0.8607
O9 0.4787 0.4787 0.8615
O10 0.5113 0.9629 0.3559
O11 0.5204 0.5204 0.3452
O12 0.6632 0.6632 0.1189
O13 0.6733 0.1776 0.1056
O14 0.8389 0.8389 0.6034
O15 0.8498 0.3452 0.6054
O16 0.9629 0.5113 0.3559

***

Diffraction record for EuMnO3. The XRD peak list is theoretical, not measured: it uses a DFT-relaxed cell (GGA+U, the Materials Project) and Cu Ka.

Main lines, sorted by position (2θ from 10° to 90°):
2θ 22.8, intensity 30.9; 2θ 32.4, intensity 23.1; 2θ 32.5, intensity 100.0; 2θ 32.7, intensity 25.2; 2θ 40.2, intensity 13.7; 2θ 46.7, intensity 40.5; 2θ 57.9, intensity 23.8; 2θ 58.2, intensity 21.7; 2θ 68.1, intensity 14.2; 2θ 77.5, intensity 13.8

Structure:
Lattice parameters (Å, degrees): 5.5268 7.7909 5.4794 90.00 90.00 90.00
Atoms (fractional coordinates):
Eu1 0.0376 0.2500 0.0063
Eu2 0.4624 0.7500 0.5063
Eu3 0.5376 0.2500 0.4937
Eu4 0.9624 0.7500 0.9937
Mn1 0.0000 0.0000 0.5000
Mn2 0.0000 0.5000 0.5000
Mn3 0.5000 0.0000 0.0000
Mn4 0.5000 0.5000 0.0000
O1 0.0162 0.7500 0.4282
O2 0.2094 0.5377 0.7904
O3 0.2094 0.9623 0.7904
O4 0.2906 0.0377 0.2904
O5 0.2906 0.4623 0.2904
O6 0.4838 0.2500 0.9282
O7 0.5162 0.7500 0.0718
O8 0.7094 0.5377 0.7096
O9 0.7094 0.9623 0.7096
O10 0.7906 0.0377 0.2096
O11 0.7906 0.4623 0.2096
O12 0.9838 0.2500 0.5718

***

Diffraction record for CsScW2O8. The XRD peak list is theoretical, not measured: it uses a DFT-relaxed cell (GGA+U, the Materials Project) and Cu Ka.

Main lines, sorted by position (2θ from 10° to 90°):
2θ 20.5, intensity 100.0; 2θ 28.1, intensity 43.2; 2θ 30.2, intensity 44.1; 2θ 36.7, intensity 13.9; 2θ 37.6, intensity 14.1; 2θ 41.7, intensity 15.8; 2θ 48.2, intensity 25.1; 2θ 52.3, intensity 15.7; 2θ 54.9, intensity 14.4; 2θ 66.7, intensity 10.7

Structure:
Lattice parameters (Å, degrees): 5.9273 5.9273 8.1058 90.00 90.00 120.00
Atoms (fractional coordinates):
Cs1 0.0000 0.0000 0.0000
Sc1 0.0000 0.0000 0.5000
W1 0.3333 0.6667 0.2737
W2 0.6667 0.3333 0.7263
O1 0.1642 0.3284 0.3434
O2 0.1642 0.8358 0.3434
O3 0.3284 0.1642 0.6566
O4 0.3333 0.6667 0.0541
O5 0.6667 0.3333 0.9459
O6 0.6716 0.8358 0.3434
O7 0.8358 0.1642 0.6566
O8 0.8358 0.6716 0.6566

***

Diffraction record for Li4Ti3V3Cu2O16. The XRD peak list is theoretical, not measured: it uses a DFT-relaxed cell (GGA+U, the Materials Project) and Cu Ka.

Main lines, sorted by position (2θ from 10° to 90°):
2θ 18.1, intensity 100.0; 2θ 19.1, intensity 80.1; 2θ 19.7, intensity 31.6; 2θ 19.9, intensity 61.3; 2θ 20.1, intensity 29.8; 2θ 34.3, intensity 27.8; 2θ 35.2, intensity 34.9; 2θ 36.5, intensity 32.7; 2θ 62.5, intensity 25.5; 2θ 63.4, intensity 26.7

Structure:
Lattice parameters (Å, degrees): 5.8383 5.8738 9.8120 91.15 92.41 118.88
Atoms (fractional coordinates):
Li1 0.0000 0.0000 0.0000
Li2 0.0016 0.0153 0.5014
Li3 0.3013 0.6543 0.6005
Li4 0.6334 0.3154 0.1006
Ti1 0.1358 0.8125 0.2764
Ti2 0.1721 0.3400 0.2771
Ti3 0.3236 0.1847 0.7766
V1 0.6491 0.8448 0.2907
V2 0.7985 0.1432 0.7816
V3 0.8301 0.6524 0.7888
Cu1 0.3131 0.6602 0.0031
Cu2 0.6474 0.3224 0.5026
O1 0.1354 0.3133 0.8890
O2 0.1530 0.8287 0.8920
O3 0.3117 0.1644 0.3911
O4 0.3209 0.6721 0.3918
O5 0.4426 0.5020 0.1598
O6 0.4498 0.9455 0.1662
O7 0.4772 0.4582 0.6644
O8 0.4937 0.0107 0.6791
O9 0.6529 0.3305 0.8935
O10 0.6850 0.8286 0.8849
O11 0.8213 0.7000 0.3863
O12 0.8234 0.1638 0.3929
O13 0.9260 0.4707 0.6617
O14 0.9714 0.9967 0.1827
O15 0.9770 0.9820 0.6840
O16 0.9876 0.5008 0.1793

***

Diffraction record for MgZn2Co2O6. The XRD peak list is theoretical, not measured: it uses a DFT-relaxed cell (GGA+U, the Materials Project) and Cu Ka.

Main lines, sorted by position (2θ from 10° to 90°):
2θ 17.3, intensity 21.4; 2θ 33.3, intensity 76.0; 2θ 34.6, intensity 60.2; 2θ 34.9, intensity 100.0; 2θ 35.3, intensity 52.3; 2θ 36.0, intensity 70.4; 2θ 49.3, intensity 24.0; 2θ 50.4, intensity 28.5; 2θ 50.7, intensity 26.5; 2θ 63.7, intensity 37.9

Structure:
Lattice parameters (Å, degrees): 5.1396 5.1488 5.8938 91.87 115.13 116.85
Atoms (fractional coordinates):
Mg1 0.0000 0.0000 0.0000
Zn1 0.2949 0.6481 0.8887
Zn2 0.6063 0.7862 0.4409
Co1 0.3999 0.2068 0.6038
Co2 0.8212 0.3968 0.3056
O1 0.1424 0.2093 0.7396
O2 0.1549 0.3474 0.2945
O3 0.4342 0.9982 0.1922
O4 0.5331 0.9349 0.7248
O5 0.7582 0.6850 0.1660
O6 0.8126 0.5430 0.6413